Structure and computed X-ray powder pattern of AcIn2SbRh4 (a DFT-relaxed cell (GGA-PBE, Alexandria); a wavelength of 1.5418 Å).
No peak broadening, texture or thermal motion is included.

Principal peaks in the range 2θ from 15° to 90°, by angle:
2θ = 26.18°, intensity 14, (1 0 4)
2θ = 27.96°, intensity 18, (0 1 5)
2θ = 32.26°, intensity 21, (1 0 7)
2θ = 34.71°, intensity 84, (0 1 8)
2θ = 39.86°, intensity 100, (1 1 0)
2θ = 42.90°, intensity 14, (0 1 11)
2θ = 53.87°, intensity 24, (2 0 8)
2θ = 57.22°, intensity 21, (1 1 12)
2θ = 69.06°, intensity 22, (1 2 8)
2θ = 72.37°, intensity 17, (3 0 0)

Crystal structure
```
data_AcIn2SbRh4
_chemical_formula_sum 'Ac3 In6 Sb3 Rh12'
_space_group_name_H-M_alt 'R -3 m'
_space_group_IT_number 166
_space_group_name_Hall '-R 3 2"'
_cell_length_a 4.5236
_cell_length_b 4.5236
_cell_length_c 27.5103
_cell_angle_alpha 90.00
_cell_angle_beta 90.00
_cell_angle_gamma 120.00
loop_
_atom_site_label
_atom_site_type_symbol
_atom_site_fract_x
_atom_site_fract_y
_atom_site_fract_z
Ac1 Ac 0.0000 0.0000 0.0000
In1 In 0.0000 0.0000 0.2436
Sb1 Sb 0.0000 0.0000 0.5000
Rh1 Rh 0.0000 0.0000 0.1362
Rh2 Rh 0.0000 0.0000 0.4052
```

=====

Structure and computed X-ray powder pattern of Cu2Au2Br7 (a DFT-relaxed cell (GGA-PBE, Alexandria); a wavelength of 1.5418 Å).
No peak broadening, texture or thermal motion is included.

Principal peaks in the range 2θ from 15° to 90°, by angle:
2θ = 16.58°, intensity 93, (2 0 -2)
2θ = 20.07°, intensity 100, (1 1 -3)
2θ = 23.83°, intensity 24, (1 1 3)
2θ = 24.55°, intensity 76, (2 0 -4)
2θ = 25.38°, intensity 34, (3 1 0)
2θ = 31.22°, intensity 24, (4 0 0)
2θ = 32.40°, intensity 24, (2 0 4)
2θ = 35.12°, intensity 28, (3 1 3)
2θ = 39.59°, intensity 24, (3 3 -3)
2θ = 50.33°, intensity 31, (4 0 -8)

Crystal structure
```
data_Cu2Au2Br7
_chemical_formula_sum 'Cu8 Au8 Br28'
_space_group_name_H-M_alt 'C 1 2/c 1'
_space_group_IT_number 15
_cell_length_a 11.9838
_cell_length_b 8.8723
_cell_length_c 15.4673
_cell_angle_alpha 90.00
_cell_angle_beta 106.92
_cell_angle_gamma 90.00
loop_
_space_group_symop_operation_xyz
'x,y,z'
'-x,-y,-z'
'-x,y,-z+1/2'
'x,-y,z+1/2'
'x+1/2,y+1/2,z'
'-x+1/2,-y+1/2,-z'
'-x+1/2,y+1/2,-z+1/2'
'x+1/2,-y+1/2,z+1/2'
loop_
_atom_site_label
_atom_site_type_symbol
_atom_site_fract_x
_atom_site_fract_y
_atom_site_fract_z
Cu1 Cu 0.2203 0.0733 0.4856
Au1 Au 0.1063 0.2980 0.8097
Br1 Br 0.0000 0.4643 0.2500
Br2 Br 0.1166 0.2826 0.5275
Br3 Br 0.1557 0.0278 0.8308
Br4 Br 0.1939 0.1224 0.0846
```